# Zr4Np3
Theoretical powder diffraction line list, Cu Kα, 1.54184 Å. Input: a crystal structure in OQMD, relaxed with PBE.
No peak broadening, texture or thermal motion is included.

```
Zr4Np3
1.0
8.093 0.000 0.000
0.000 5.217 0.000
-4.009 0.000 7.410
Zr Np
8 6
direct
0.027 0.250 0.392
0.122 0.750 0.040
0.153 0.250 0.814
0.411 0.750 0.906
0.589 0.250 0.094
0.847 0.750 0.186
0.878 0.250 0.960
0.973 0.750 0.608
0.326 0.250 0.250
0.353 0.750 0.495
0.455 0.250 0.664
0.545 0.750 0.336
0.647 0.250 0.505
0.674 0.750 0.750
```

Principal peaks in the range 2θ from 10° to 80°, sorted by position:
- 11.9°, rel. 26
- 12.5°, rel. 100
- 32.9°, rel. 28
- 33.7°, rel. 14
- 34.4°, rel. 57
- 36.5°, rel. 87
- 36.7°, rel. 16
- 37.2°, rel. 44
- 38.0°, rel. 38
- 48.3°, rel. 21
- 49.0°, rel. 14
- 63.0°, rel. 19



# Zr3Ta
Theoretical powder diffraction line list, Cu Kα, 1.54184 Å. Input: a crystal structure in OQMD, relaxed with PBE.
No peak broadening, texture or thermal motion is included.

```
Zr3Ta
1.0
3.049 -5.627 0.000
3.049 5.627 0.000
0.000 0.000 5.092
Zr Ta
6 2
direct
0.070 0.930 0.750
0.078 0.433 0.750
0.433 0.078 0.250
0.567 0.922 0.750
0.922 0.567 0.250
0.930 0.070 0.250
0.438 0.562 0.250
0.562 0.438 0.750
```

Principal peaks in the range 2θ from 10° to 80°, sorted by position:
- 16.5°, rel. 21
- 33.4°, rel. 54
- 35.3°, rel. 54
- 36.5°, rel. 96
- 37.9°, rel. 100
- 49.4°, rel. 36
- 57.7°, rel. 17
- 60.8°, rel. 24
- 64.1°, rel. 18
- 65.0°, rel. 20
- 69.5°, rel. 20
- 73.0°, rel. 24



# TaAl14
Theoretical powder diffraction line list, Cu Kα, 1.54184 Å. Input: a crystal structure in OQMD, relaxed with PBE.
No peak broadening, texture or thermal motion is included.

```
TaAl14
1.0
9.793 0.000 0.000
0.000 9.793 0.000
0.000 0.000 5.268
Ta Al
2 28
direct
0.000 0.000 0.000
0.500 0.500 0.500
0.045 0.370 0.500
0.075 0.269 0.000
0.096 0.096 0.500
0.130 0.545 0.000
0.175 0.825 0.250
0.175 0.825 0.750
0.231 0.575 0.500
0.269 0.075 0.000
0.325 0.325 0.250
0.325 0.325 0.750
0.370 0.045 0.500
0.404 0.596 0.000
0.425 0.769 0.500
0.455 0.870 0.000
0.545 0.130 0.000
0.575 0.231 0.500
0.596 0.404 0.000
0.630 0.955 0.500
0.675 0.675 0.250
0.675 0.675 0.750
0.731 0.925 0.000
0.769 0.425 0.500
0.825 0.175 0.250
0.825 0.175 0.750
0.870 0.455 0.000
0.904 0.904 0.500
0.925 0.731 0.000
0.955 0.630 0.500
```

Principal peaks in the range 2θ from 10° to 80°, sorted by position:
- 12.8°, rel. 99
- 18.1°, rel. 47
- 19.1°, rel. 88
- 26.5°, rel. 68
- 28.8°, rel. 29
- 37.2°, rel. 31
- 37.9°, rel. 28
- 38.8°, rel. 47
- 39.0°, rel. 35
- 41.7°, rel. 100
- 45.2°, rel. 47
- 66.2°, rel. 25



# Gd3MgIn3PtAu
Theoretical powder diffraction line list, Cu Kα, 1.54184 Å. Input: a crystal structure in OQMD, relaxed with PBE.
No peak broadening, texture or thermal motion is included.

```
Gd3MgIn3PtAu
1.0
7.916 0.000 0.000
-3.958 6.856 0.000
0.000 0.000 3.924
Gd Mg In Pt Au
3 1 3 1 1
direct
0.082 0.366 0.000
0.284 0.918 0.000
0.634 0.716 0.000
0.000 0.000 0.500
0.397 0.319 0.500
0.681 0.078 0.500
0.922 0.603 0.500
0.333 0.667 0.500
0.667 0.333 0.000
```

Principal peaks in the range 2θ from 10° to 80°, sorted by position:
- 12.9°, rel. 46
- 32.1°, rel. 86
- 34.6°, rel. 40
- 34.7°, rel. 100
- 39.4°, rel. 48
- 41.8°, rel. 51
- 46.3°, rel. 24
- 53.5°, rel. 15
- 59.1°, rel. 17
- 62.4°, rel. 25
- 63.7°, rel. 41
- 73.1°, rel. 14



# Hg7Cl2O3
Theoretical powder diffraction line list, Cu Kα, 1.54184 Å. Input: a crystal structure in OQMD, relaxed with PBE.
No peak broadening, texture or thermal motion is included.

```
Hg7Cl2O3
1.0
6.611 0.000 0.000
0.000 11.985 0.000
0.000 0.000 14.211
Hg Cl O
28 8 12
direct
0.000 0.000 0.000
0.000 0.000 0.500
0.000 0.500 0.000
0.000 0.500 0.500
0.132 0.041 0.250
0.132 0.459 0.750
0.167 0.242 0.750
0.167 0.258 0.250
0.317 0.710 0.630
0.317 0.710 0.870
0.317 0.790 0.130
0.317 0.790 0.370
0.471 0.115 0.082
0.471 0.115 0.418
0.471 0.385 0.582
0.471 0.385 0.918
0.529 0.615 0.082
0.529 0.615 0.418
0.529 0.885 0.582
0.529 0.885 0.918
0.683 0.210 0.630
0.683 0.210 0.870
0.683 0.290 0.130
0.683 0.290 0.370
0.833 0.742 0.750
0.833 0.758 0.250
0.868 0.541 0.250
0.868 0.959 0.750
0.076 0.250 0.000
0.076 0.250 0.500
0.335 0.052 0.750
0.335 0.448 0.250
0.665 0.552 0.750
0.665 0.948 0.250
0.924 0.750 0.000
0.924 0.750 0.500
0.135 0.637 0.750
0.135 0.863 0.250
0.285 0.531 0.553
0.285 0.531 0.947
0.285 0.969 0.053
0.285 0.969 0.447
0.715 0.031 0.553
0.715 0.031 0.947
0.715 0.469 0.053
0.715 0.469 0.447
0.865 0.137 0.750
0.865 0.363 0.250
```

Principal peaks in the range 2θ from 10° to 80°, sorted by position:
- 16.5°, rel. 51
- 27.5°, rel. 52
- 28.5°, rel. 100
- 29.2°, rel. 36
- 29.5°, rel. 87
- 29.8°, rel. 50
- 30.9°, rel. 32
- 32.8°, rel. 49
- 33.9°, rel. 30
- 35.2°, rel. 31
- 36.4°, rel. 55
- 51.1°, rel. 34



# BaHgF4
Theoretical powder diffraction line list, Cu Kα, 1.54184 Å. Input: a crystal structure in OQMD, relaxed with PBE.
No peak broadening, texture or thermal motion is included.

```
BaHgF4
1.0
4.062 0.000 0.000
0.000 4.062 0.000
0.000 0.000 5.818
Ba Hg F
1 1 4
direct
0.000 0.000 0.000
0.500 0.500 0.500
0.000 0.500 0.273
0.000 0.500 0.727
0.500 0.000 0.273
0.500 0.000 0.727
```

Principal peaks in the range 2θ from 10° to 80°, sorted by position:
- 15.2°, rel. 5
- 26.8°, rel. 100
- 30.7°, rel. 10
- 31.1°, rel. 19
- 44.3°, rel. 38
- 44.6°, rel. 19
- 52.3°, rel. 16
- 52.8°, rel. 31
- 55.2°, rel. 9
- 64.9°, rel. 6
- 71.1°, rel. 13
- 71.5°, rel. 6



# Cu9Ag
Theoretical powder diffraction line list, Cu Kα, 1.54184 Å. Input: a crystal structure in OQMD, relaxed with PBE.
No peak broadening, texture or thermal motion is included.

```
Cu9Ag
1.0
4.468 0.000 0.000
-0.063 6.865 0.000
-1.516 -1.042 8.065
Cu Ag
18 2
direct
0.000 0.000 0.000
0.034 0.456 0.654
0.103 0.896 0.285
0.150 0.352 0.949
0.207 0.790 0.613
0.251 0.250 0.240
0.297 0.700 0.905
0.403 0.593 0.194
0.448 0.049 0.857
0.500 0.500 0.500
0.552 0.951 0.143
0.597 0.407 0.806
0.703 0.300 0.095
0.749 0.750 0.760
0.793 0.210 0.387
0.850 0.648 0.051
0.897 0.104 0.715
0.966 0.544 0.346
0.334 0.153 0.551
0.666 0.847 0.449
```

Principal peaks in the range 2θ from 10° to 80°, sorted by position:
- 24.5°, rel. 1
- 29.1°, rel. 1
- 32.8°, rel. 1
- 36.4°, rel. 1
- 39.5°, rel. 2
- 42.6°, rel. 100
- 42.8°, rel. 99
- 49.4°, rel. 63
- 50.2°, rel. 31
- 72.2°, rel. 9
- 72.8°, rel. 9
- 73.1°, rel. 35



# NbCuSe2
Theoretical powder diffraction line list, Cu Kα, 1.54184 Å. Input: a crystal structure in OQMD, relaxed with PBE.
No peak broadening, texture or thermal motion is included.

```
NbCuSe2
1.0
6.275 0.000 0.000
0.000 3.607 0.000
0.000 0.000 13.730
Nb Cu Se
4 4 8
direct
0.190 0.250 0.004
0.310 0.750 0.504
0.690 0.250 0.496
0.810 0.750 0.996
0.222 0.750 0.302
0.278 0.250 0.802
0.722 0.750 0.198
0.778 0.250 0.698
0.078 0.250 0.402
0.104 0.750 0.137
0.396 0.250 0.637
0.422 0.750 0.902
0.578 0.250 0.098
0.604 0.750 0.363
0.896 0.250 0.863
0.922 0.750 0.598
```

Principal peaks in the range 2θ from 10° to 80°, sorted by position:
- 12.9°, rel. 33
- 25.5°, rel. 25
- 29.2°, rel. 57
- 31.4°, rel. 70
- 31.6°, rel. 15
- 34.7°, rel. 43
- 38.9°, rel. 30
- 40.3°, rel. 34
- 43.9°, rel. 100
- 49.3°, rel. 26
- 50.6°, rel. 33
- 50.9°, rel. 37



Q: Number 2 is which compound?
A: Zr3Ta